The following is a theoretical powder diffractogram of As2Au7. It was derived from the PBE geometry in OQMD, using Cu Kα (weighted mean of Kα1 and Kα2).
No peak broadening, texture or thermal motion is included.

Main lines, low angle first (15 to 90 degrees two-theta):
35.90°, I 37
37.36°, I 100
38.31°, I 92
38.76°, I 29
42.20°, I 28
43.80°, I 85
63.34°, I 28
64.03°, I 43
75.62°, I 27
77.40°, I 35

Structure:
```
As2Au7
1.0
2.9094 0.0000 0.0000
-1.4547 2.5196 0.0000
0.0000 0.0000 32.5212
As Au
2 7
direct
0.3333 0.6667 0.2061 As
0.6667 0.3333 0.7939 As
0.0000 0.0000 0.2758 Au
0.0000 0.0000 0.5000 Au
0.0000 0.0000 0.7242 Au
0.3333 0.6667 0.4257 Au
0.3333 0.6667 0.6482 Au
0.6667 0.3333 0.3518 Au
0.6667 0.3333 0.5743 Au
```

The following is a theoretical powder diffractogram of HfZr2As4Pt4. It was derived from the PBE geometry in OQMD, using Cu Kα (weighted mean of Kα1 and Kα2).
No peak broadening, texture or thermal motion is included.

Main lines, low angle first (15 to 90 degrees two-theta):
17.65°, I 64
28.68°, I 55
35.19°, I 80
35.29°, I 100
37.23°, I 79
41.91°, I 87
42.57°, I 74
44.18°, I 36
44.60°, I 37
45.80°, I 61

Structure:
```
HfZr2As4Pt4
1.0
6.6320 0.0000 0.0000
0.0000 3.9624 0.0000
-0.0126 0.0000 7.7077
Hf Zr As Pt
1 2 4 4
direct
0.0000 0.0000 0.0000 Hf
0.4385 0.5000 0.4997 Zr
0.9311 0.5000 0.6285 Zr
0.2187 0.0000 0.6838 As
0.2581 0.5000 0.1937 As
0.7040 0.0000 0.4221 As
0.7059 0.5000 0.9463 As
0.1125 0.0000 0.3648 Pt
0.3050 0.5000 0.8815 Pt
0.6291 0.0000 0.7534 Pt
0.8401 0.5000 0.2481 Pt
```

The following is a theoretical powder diffractogram of NaAg4Se4. It was derived from the PBE geometry in OQMD, using Cu Kα (weighted mean of Kα1 and Kα2).
No peak broadening, texture or thermal motion is included.

Main lines, low angle first (15 to 90 degrees two-theta):
24.58°, I 36
27.29°, I 100
31.36°, I 32
36.35°, I 48
41.51°, I 99
42.01°, I 28
48.18°, I 35
50.38°, I 34
75.73°, I 16
80.53°, I 15

Structure:
```
NaAg4Se4
1.0
4.3509 0.0000 0.0000
-2.1754 3.7680 0.0000
0.0000 0.0000 13.0962
Na Ag Se
1 4 4
direct
0.0000 0.0000 0.0000 Na
0.3333 0.6667 0.3378 Ag
0.3333 0.6667 0.8063 Ag
0.6667 0.3333 0.1937 Ag
0.6667 0.3333 0.6622 Ag
0.0000 0.0000 0.4091 Se
0.0000 0.0000 0.5909 Se
0.3333 0.6667 0.1339 Se
0.6667 0.3333 0.8661 Se
```

The following is a theoretical powder diffractogram of InCu3GeSe4. It was derived from the PBE geometry in OQMD, using Cu Kα (weighted mean of Kα1 and Kα2).
No peak broadening, texture or thermal motion is included.

Main lines, low angle first (15 to 90 degrees two-theta):
25.35°, I 36
27.78°, I 42
27.98°, I 59
28.42°, I 100
33.85°, I 37
43.16°, I 40
43.38°, I 57
47.79°, I 22
48.14°, I 24
52.01°, I 21

Structure:
```
InCu3GeSe4
1.0
5.9078 0.0000 0.0000
0.0000 7.5608 0.0000
-2.8784 0.0000 9.5168
In Cu Ge Se
2 6 2 8
direct
0.1553 0.2500 0.4046 In
0.8447 0.7500 0.5954 In
0.3099 0.5667 0.0247 Cu
0.3099 0.9333 0.0247 Cu
0.4293 0.7500 0.2556 Cu
0.5707 0.2500 0.7444 Cu
0.6901 0.0667 0.9753 Cu
0.6901 0.4333 0.9753 Cu
0.1111 0.2500 0.7816 Ge
0.8889 0.7500 0.2184 Ge
0.0397 0.2500 0.0111 Se
0.2131 0.7500 0.4249 Se
0.3471 0.5146 0.7802 Se
0.3471 0.9854 0.7802 Se
0.6529 0.0146 0.2198 Se
0.6529 0.4854 0.2198 Se
0.7869 0.2500 0.5751 Se
0.9603 0.7500 0.9889 Se
```

The following is a theoretical powder diffractogram of InPt15. It was derived from the PBE geometry in OQMD, using Cu Kα (weighted mean of Kα1 and Kα2).
No peak broadening, texture or thermal motion is included.

Main lines, low angle first (15 to 90 degrees two-theta):
37.36°, I 22
39.45°, I 100
39.55°, I 25
44.11°, I 14
45.79°, I 25
45.93°, I 32
66.90°, I 15
80.40°, I 13
80.61°, I 23
84.96°, I 11

Structure:
```
InPt15
1.0
7.9296 0.0000 0.0000
0.0000 2.7927 0.0000
-0.0328 0.0000 36.3444
In Pt
2 30
direct
0.1250 0.2500 0.2972 In
0.8750 0.7500 0.7028 In
0.1173 0.2500 0.7447 Pt
0.1188 0.2500 0.8254 Pt
0.1234 0.2500 0.9032 Pt
0.1247 0.2500 0.2151 Pt
0.1262 0.2500 0.0572 Pt
0.1256 0.2500 0.1352 Pt
0.1262 0.2500 0.9802 Pt
0.3669 0.7500 0.2554 Pt
0.3686 0.7500 0.1751 Pt
0.3734 0.7500 0.0970 Pt
0.3750 0.7500 0.7148 Pt
0.3746 0.7500 0.7891 Pt
0.3753 0.7500 0.8638 Pt
0.3759 0.7500 0.0190 Pt
0.3763 0.7500 0.9409 Pt
0.6237 0.2500 0.0591 Pt
0.6241 0.2500 0.9810 Pt
0.6247 0.2500 0.1362 Pt
0.6254 0.2500 0.2109 Pt
0.6250 0.2500 0.2852 Pt
0.6266 0.2500 0.9030 Pt
0.6314 0.2500 0.8249 Pt
0.6331 0.2500 0.7446 Pt
0.8738 0.7500 0.0198 Pt
0.8744 0.7500 0.8648 Pt
0.8738 0.7500 0.9428 Pt
0.8753 0.7500 0.7849 Pt
0.8766 0.7500 0.0968 Pt
0.8812 0.7500 0.1746 Pt
0.8827 0.7500 0.2553 Pt
```

The following is a theoretical powder diffractogram of KTaF6. It was derived from the PBE geometry in OQMD, using Cu Kα (weighted mean of Kα1 and Kα2).
No peak broadening, texture or thermal motion is included.

Main lines, low angle first (15 to 90 degrees two-theta):
17.81°, I 75
19.01°, I 31
25.28°, I 69
26.16°, I 100
31.83°, I 26
38.59°, I 16
45.10°, I 57
46.69°, I 22
53.83°, I 17
59.05°, I 15

Structure:
```
KTaF6
1.0
4.9813 0.0000 0.0000
0.0000 4.9813 0.0000
0.0000 0.0000 9.3352
K Ta F
2 2 12
direct
0.0000 0.0000 0.0000 K
0.0000 0.0000 0.5000 K
0.5000 0.5000 0.2500 Ta
0.5000 0.5000 0.7500 Ta
0.2258 0.2258 0.2500 F
0.2258 0.7742 0.7500 F
0.3031 0.3174 0.6054 F
0.3031 0.6826 0.1054 F
0.3174 0.3031 0.8946 F
0.3174 0.6969 0.3946 F
0.6826 0.3031 0.3946 F
0.6826 0.6969 0.8946 F
0.6969 0.3174 0.1054 F
0.6969 0.6826 0.6054 F
0.7742 0.2258 0.7500 F
0.7742 0.7742 0.2500 F
```

The following is a theoretical powder diffractogram of AlZnCoH6. It was derived from the PBE geometry in OQMD, using Cu Kα (weighted mean of Kα1 and Kα2).
No peak broadening, texture or thermal motion is included.

Main lines, low angle first (15 to 90 degrees two-theta):
22.66°, I 58
26.23°, I 8
37.43°, I 100
44.20°, I 29
53.97°, I 18
59.27°, I 11
67.52°, I 33
72.23°, I 8
79.83°, I 10
84.30°, I 8

Structure:
```
AlZnCoH6
1.0
0.0000 3.3981 3.3981
3.3981 0.0000 3.3981
3.3981 3.3981 0.0000
Al Zn Co H
1 1 1 6
direct
0.0000 0.0000 0.0000 Al
0.5000 0.5000 0.5000 Zn
0.2500 0.2500 0.2500 Co
0.2486 0.2486 0.7514 H
0.2486 0.7514 0.2486 H
0.2486 0.7514 0.7514 H
0.7514 0.2486 0.2486 H
0.7514 0.2486 0.7514 H
0.7514 0.7514 0.2486 H
```